Structure and simulated powder XRD pattern of MgZr (DFT lattice parameters and positions (PBE); Cu Kα X-rays).

Peak list (12 most intense, 2θ from 10° to 90°, by angle)
index	Position (°2θ)	I/Imax
0 0 1	16.02	55.4
0 0 2	32.37	30.6
1 0 0	33.85	39.8
1 0 1	37.66	100.0
1 0 2	47.54	29.9
1 1 0	60.56	14.4
1 0 3	61.26	23.0
1 1 1	63.08	8.2
1 1 2	70.36	18.0
2 0 1	73.55	13.1
1 0 4	77.94	6.7
2 0 2	80.40	6.1

Cell and atoms:
Unit cell a=3.0580 b=3.0580 c=5.5315 alpha=90.00 beta=90.00 gamma=120.00
Positions (direct):
1 Mg 0.0000 0.0000 0.0000
2 Zr 0.6667 0.3333 0.5000